For Mn15CrO32, a crystal structure in the Materials Project, relaxed with GGA+U gives the computed powder diffraction line list in this record (Cu Kα (λ = 1.5418 Å)).

Top 8 peaks for 2θ from 5° to 70°, low angle first:
- hkl 2 0 0, 2θ 18.69, d 4.747, I = 100
- hkl 0 2 3, 2θ 36.23, d 2.479, I = 34
- hkl 0 4 2, 2θ 37.90, d 2.374, I = 9
- hkl 0 0 4, 2θ 44.05, d 2.056, I = 49
- hkl 6 0 -4, 2θ 48.24, d 1.886, I = 9
- hkl 2 0 4, 2θ 58.31, d 1.582, I = 16
- hkl 8 0 -4, 2θ 64.06, d 1.454, I = 25
- hkl 4 6 1, 2θ 67.38, d 1.390, I = 13

Atomic structure:
```
data_Mn15CrO32
_symmetry_space_group_name_H-M 'C 1 2/m 1'
_symmetry_Int_Tables_number 12
_symmetry_space_group_name_Hall '-C 2y'
_cell_length_a 11.6308
_cell_length_b 11.6289
_cell_length_c 10.0658
_cell_angle_alpha 90.00
_cell_angle_beta 125.24
_cell_angle_gamma 90.00
loop_
_atom_site_label
_atom_site_type_symbol
_atom_site_fract_x
_atom_site_fract_y
_atom_site_fract_z
Mn1 Mn 0.0000 0.0000 0.0000
Mn2 Mn 0.0000 0.2485 0.5000
Mn3 Mn 0.2493 0.0000 0.9995
Mn4 Mn 0.2498 0.1264 0.2491
Mn5 Mn 0.2496 0.1264 0.7487
Mn6 Mn 0.2500 0.2500 0.5000
Cr1 Cr 0.0000 0.5000 0.0000
O1 O 0.1315 0.1401 0.5129
O2 O 0.1322 0.1096 0.0154
O3 O 0.1324 0.2487 0.7365
O4 O 0.1317 0.3595 0.5155
O5 O 0.1332 0.0000 0.2367
O6 O 0.1331 0.5000 0.2361
O7 O 0.1343 0.3918 0.0162
O8 O 0.1460 0.0000 0.7630
O9 O 0.1468 0.2515 0.2642
O10 O 0.1469 0.5000 0.7658
```

For Li10Fe5Co3O16, a crystal structure in the Materials Project, relaxed with GGA+U gives the computed powder diffraction line list in this record (Cu Kα (λ = 1.5418 Å)).

Top 10 peaks for 2θ from 5° to 70°, low angle first:
- hkl 0 0 2, 2θ 18.24, d 4.864, I = 58
- hkl 2 0 1, 2θ 19.63, d 4.522, I = 95
- hkl 1 1 -2, 2θ 25.29, d 3.522, I = 29
- hkl 3 1 -2, 2θ 35.61, d 2.521, I = 54
- hkl 4 0 1, 2θ 36.38, d 2.470, I = 62
- hkl 2 2 -2, 2θ 39.87, d 2.261, I = 37
- hkl 4 0 -3, 2θ 45.20, d 2.006, I = 100
- hkl 2 2 4, 2θ 51.92, d 1.761, I = 33
- hkl 4 0 -5, 2θ 59.75, d 1.548, I = 43
- hkl 0 4 0, 2θ 63.06, d 1.474, I = 48

Atomic structure:
```
data_Li10Fe5Co3O16
_symmetry_space_group_name_H-M 'C 1 m 1'
_symmetry_Int_Tables_number 8
_symmetry_space_group_name_Hall 'C -2y'
_cell_length_a 10.2227
_cell_length_b 5.8916
_cell_length_c 9.7290
_cell_angle_alpha 90.00
_cell_angle_beta 90.04
_cell_angle_gamma 90.00
loop_
_atom_site_label
_atom_site_type_symbol
_atom_site_fract_x
_atom_site_fract_y
_atom_site_fract_z
Li1 Li 0.0000 0.0000 0.0000
Li2 Li 0.0029 0.0000 0.5071
Li3 Li 0.1064 0.2881 0.9284
Li4 Li 0.1739 0.5000 0.7093
Li5 Li 0.2016 0.0000 0.4317
Li6 Li 0.3101 0.5000 0.9321
Li7 Li 0.3351 0.0000 0.2094
Li8 Li 0.4095 0.2114 0.4310
Fe1 Fe 0.0880 0.2513 0.2013
Fe2 Fe 0.1688 0.5000 0.4590
Fe3 Fe 0.1791 0.0000 0.7017
Fe4 Fe 0.3413 0.0000 0.9562
Co1 Co 0.3333 0.5000 0.1977
Co2 Co 0.4215 0.2477 0.6970
O1 O 0.0098 0.5000 0.3241
O2 O 0.0840 0.2499 0.5801
O3 O 0.1669 0.0000 0.0691
O4 O 0.1743 0.5000 0.0778
O5 O 0.2524 0.2643 0.3204
O6 O 0.2656 0.2416 0.8181
O7 O 0.3406 0.5000 0.5856
O8 O 0.3461 0.0000 0.5865
O9 O 0.4156 0.2570 0.0778
O10 O 0.4931 0.5000 0.3131
O11 O 0.4947 0.0000 0.8137
O12 O 0.4987 0.5000 0.8042
```